Record 1
For TlAu9, a GGA-PBE-relaxed structure gives the computed powder X-ray diffraction pattern in this record (Cu Kα, 1.54184 Å).
Lines closer than 0.1° are merged.

The 6 most intense peaks (10 to 90 degrees two-theta), sorted by position:
2θ/deg  d (Å)  intensity  h k l
37.3  2.410  100  1 0 13
38.4  2.344  21  1 0 14
42.6  2.120  44  1 1 0
63.5  1.464  16  1 1 26
74.5  1.273  27  2 1 13
79.5  1.205  15  2 0 26

Atomic structure:
```
data_TlAu9
_space_group_name_H-M_alt 'P 4/n m m'
_space_group_IT_number 129
_cell_length_a 2.9987
_cell_length_b 2.9987
_cell_length_c 52.6440
_cell_angle_alpha 90.00
_cell_angle_beta 90.00
_cell_angle_gamma 90.00
loop_
_space_group_symop_operation_xyz
'x,y,z'
'-x,-y,-z'
'-y+1/2,x,z'
'y+1/2,-x,-z'
'-x+1/2,-y+1/2,z'
'x+1/2,y+1/2,-z'
'y,-x+1/2,z'
'-y,x+1/2,-z'
'x+1/2,-y,-z'
'-x+1/2,y,z'
'-y,-x,-z'
'y,x,z'
'-x,y+1/2,-z'
'x,-y+1/2,z'
'y+1/2,x+1/2,-z'
'-y+1/2,-x+1/2,z'
loop_
_atom_site_label
_atom_site_type_symbol
_atom_site_fract_x
_atom_site_fract_y
_atom_site_fract_z
Tl1 Tl 0.2500 0.2500 0.1302
Au1 Au 0.2500 0.2500 0.2161
Au2 Au 0.2500 0.2500 0.2928
Au3 Au 0.2500 0.2500 0.3685
Au4 Au 0.2500 0.2500 0.4438
Au5 Au 0.2500 0.2500 0.5187
Au6 Au 0.2500 0.2500 0.5938
Au7 Au 0.2500 0.2500 0.6693
Au8 Au 0.2500 0.2500 0.7454
Au9 Au 0.2500 0.2500 0.8229
```

---

Record 2
For TlAu8, a GGA-PBE-relaxed structure gives the computed powder X-ray diffraction pattern in this record (Cu Kα, 1.54184 Å).
Lines closer than 0.1° are merged.

The 6 most intense peaks (10 to 90 degrees two-theta), sorted by position:
2θ/deg  d (Å)  intensity  h k l
34.7  2.588  62  1 1 -8
37.0  2.429  99  1 1 -9
37.8  2.382  34  3 1 2
38.4  2.343  100  3 1 3
44.2  2.050  33  4 0 -6
44.8  2.022  33  0 2 0

Atomic structure:
```
data_TlAu8
_space_group_name_H-M_alt 'C 1 2/m 1'
_space_group_IT_number 12
_cell_length_a 9.0401
_cell_length_b 4.0445
_cell_length_c 28.9811
_cell_angle_alpha 90.00
_cell_angle_beta 90.21
_cell_angle_gamma 90.00
loop_
_space_group_symop_operation_xyz
'x,y,z'
'-x,-y,-z'
'-x,y,-z'
'x,-y,z'
'x+1/2,y+1/2,z'
'-x+1/2,-y+1/2,-z'
'-x+1/2,y+1/2,-z'
'x+1/2,-y+1/2,z'
loop_
_atom_site_label
_atom_site_type_symbol
_atom_site_fract_x
_atom_site_fract_y
_atom_site_fract_z
Tl1 Tl 0.0532 0.0000 0.3028
Au1 Au 0.0506 0.0000 0.9496
Au2 Au 0.0514 0.5000 0.1177
Au3 Au 0.0508 0.5000 0.7787
Au4 Au 0.1476 0.0000 0.8482
Au5 Au 0.1502 0.0000 0.1857
Au6 Au 0.1500 0.5000 0.0168
Au7 Au 0.2504 0.0000 0.0845
Au8 Au 0.2499 0.0000 0.7471
```

---

Record 3
For Tl2Au17, a GGA-PBE-relaxed structure gives the computed powder X-ray diffraction pattern in this record (Cu Kα, 1.54184 Å).
Lines closer than 0.1° are merged.

The 6 most intense peaks (10 to 90 degrees two-theta), sorted by position:
2θ/deg  d (Å)  intensity  h k l
32.0  2.795  33  3 0 0
35.9  2.501  35  2 0 3
37.1  2.420  56  2 2 0
37.5  2.399  100  3 0 2
38.5  2.338  34  0 0 4
42.0  2.149  78  2 2 2

Atomic structure:
```
data_Tl2Au17
_space_group_name_H-M_alt 'P 63/m m c'
_space_group_IT_number 194
_space_group_name_Hall '-P 6c 2c'
_cell_length_a 9.6806
_cell_length_b 9.6806
_cell_length_c 9.3522
_cell_angle_alpha 90.00
_cell_angle_beta 90.00
_cell_angle_gamma 120.00
loop_
_atom_site_label
_atom_site_type_symbol
_atom_site_fract_x
_atom_site_fract_y
_atom_site_fract_z
Tl1 Tl 0.0000 0.0000 0.2500
Tl2 Tl 0.3333 0.6667 0.2500
Au1 Au 0.0000 0.5000 0.0000
Au2 Au 0.0287 0.3553 0.7500
Au3 Au 0.1649 0.3298 0.0207
Au4 Au 0.3333 0.6667 0.5996
```

---

Record 4
For Tl7Au4, a GGA-PBE-relaxed structure gives the computed powder X-ray diffraction pattern in this record (Cu Kα, 1.54184 Å).
Lines closer than 0.1° are merged.

The 6 most intense peaks (10 to 90 degrees two-theta), sorted by position:
2θ/deg  d (Å)  intensity  h k l
30.1  2.965  32  3 1 -3
31.3  2.854  55  1 1 -4
33.3  2.694  55  1 1 4
34.4  2.605  100  3 1 3
34.8  2.578  67  5 1 0
46.1  1.969  43  0 2 0

Atomic structure:
```
data_Tl7Au4
_space_group_name_H-M_alt 'C 1 2/m 1'
_space_group_IT_number 12
_cell_length_a 17.6342
_cell_length_b 3.9379
_cell_length_c 16.5596
_cell_angle_alpha 90.00
_cell_angle_beta 104.77
_cell_angle_gamma 90.00
loop_
_space_group_symop_operation_xyz
'x,y,z'
'-x,-y,-z'
'-x,y,-z'
'x,-y,z'
'x+1/2,y+1/2,z'
'-x+1/2,-y+1/2,-z'
'-x+1/2,y+1/2,-z'
'x+1/2,-y+1/2,z'
loop_
_atom_site_label
_atom_site_type_symbol
_atom_site_fract_x
_atom_site_fract_y
_atom_site_fract_z
Tl1 Tl 0.0000 0.0000 0.0000
Tl2 Tl 0.0000 0.5000 0.5000
Tl3 Tl 0.0031 0.0000 0.6708
Tl4 Tl 0.0703 0.5000 0.1771
Tl5 Tl 0.1677 0.5000 0.9654
Tl6 Tl 0.1820 0.0000 0.5418
Tl7 Tl 0.1959 0.0000 0.3059
Tl8 Tl 0.2054 0.0000 0.7994
Au1 Au 0.0619 0.0000 0.8527
Au2 Au 0.1282 0.5000 0.4016
Au3 Au 0.1297 0.5000 0.6594
Au4 Au 0.1734 0.0000 0.1052
```

---

Record 5
For Tl2Au7, a GGA-PBE-relaxed structure gives the computed powder X-ray diffraction pattern in this record (Cu Kα, 1.54184 Å).
Lines closer than 0.1° are merged.

The 6 most intense peaks (10 to 90 degrees two-theta), sorted by position:
2θ/deg  d (Å)  intensity  h k l
36.2  2.484  86  1 0 4
37.1  2.421  100  1 0 5
38.8  2.323  30  0 0 14
42.8  2.115  81  0 1 9
61.6  1.506  41  1 1 0
75.2  1.264  27  1 1 14

Atomic structure:
```
data_Tl2Au7
_space_group_name_H-M_alt 'P -3 m 1'
_space_group_IT_number 164
_space_group_name_Hall '-P 3 2"'
_cell_length_a 3.0121
_cell_length_b 3.0121
_cell_length_c 32.5167
_cell_angle_alpha 90.00
_cell_angle_beta 90.00
_cell_angle_gamma 120.00
loop_
_atom_site_label
_atom_site_type_symbol
_atom_site_fract_x
_atom_site_fract_y
_atom_site_fract_z
Tl1 Tl 0.3333 0.6667 0.2022
Au1 Au 0.0000 0.0000 0.2852
Au2 Au 0.0000 0.0000 0.5000
Au3 Au 0.3333 0.6667 0.4290
Au4 Au 0.3333 0.6667 0.6421
```

---

Record 6
For TlAu12, a GGA-PBE-relaxed structure gives the computed powder X-ray diffraction pattern in this record (Cu Kα, 1.54184 Å).
Lines closer than 0.1° are merged.

The 6 most intense peaks (10 to 90 degrees two-theta), sorted by position:
2θ/deg  d (Å)  intensity  h k l
32.4  2.761  27  1 3 3
37.5  2.401  47  2 2 2
37.7  2.389  100  0 4 4
42.1  2.145  47  2 4 0
42.3  2.137  33  0 2 6
67.9  1.380  27  2 6 6

Atomic structure:
```
data_TlAu12
_space_group_name_H-M_alt 'F m m m'
_space_group_IT_number 69
_space_group_name_Hall '-F 2 2'
_cell_length_a 5.5549
_cell_length_b 13.4878
_cell_length_c 13.5169
_cell_angle_alpha 90.00
_cell_angle_beta 90.00
_cell_angle_gamma 90.00
loop_
_atom_site_label
_atom_site_type_symbol
_atom_site_fract_x
_atom_site_fract_y
_atom_site_fract_z
Tl1 Tl 0.0000 0.0000 0.0000
Au1 Au 0.0000 0.1075 0.3924
Au2 Au 0.0000 0.1761 0.1761
Au3 Au 0.2500 0.0000 0.2500
Au4 Au 0.2500 0.2500 0.0000
```

---

Record 7
For TlAu17, a GGA-PBE-relaxed structure gives the computed powder X-ray diffraction pattern in this record (Cu Kα, 1.54184 Å).
Lines closer than 0.1° are merged.

The 6 most intense peaks (10 to 90 degrees two-theta), sorted by position:
2θ/deg  d (Å)  intensity  h k l
36.6  2.455  33  0 0 13
37.6  2.391  100  2 0 4
38.6  2.333  44  2 0 5
42.6  2.122  45  0 2 8
44.3  2.046  49  0 2 9
64.4  1.447  34  2 2 0

Atomic structure:
```
data_TlAu17
_space_group_name_H-M_alt 'P -3 m 1'
_space_group_IT_number 164
_space_group_name_Hall '-P 3 2"'
_cell_length_a 5.7871
_cell_length_b 5.7871
_cell_length_c 31.9130
_cell_angle_alpha 90.00
_cell_angle_beta 90.00
_cell_angle_gamma 120.00
loop_
_atom_site_label
_atom_site_type_symbol
_atom_site_fract_x
_atom_site_fract_y
_atom_site_fract_z
Tl1 Tl 0.3333 0.6667 0.3399
Au1 Au 0.0000 0.0000 0.0000
Au2 Au 0.0000 0.0000 0.2317
Au3 Au 0.0000 0.5000 0.0000
Au4 Au 0.0031 0.5015 0.2314
Au5 Au 0.1663 0.3326 0.1544
Au6 Au 0.1665 0.3331 0.9230
Au7 Au 0.1670 0.3341 0.6912
Au8 Au 0.3333 0.6667 0.0778
Au9 Au 0.3333 0.6667 0.8465
```

---

Record 8
For TlAu, a GGA-PBE-relaxed structure gives the computed powder X-ray diffraction pattern in this record (Cu Kα, 1.54184 Å).
Lines closer than 0.1° are merged.

The 6 most intense peaks (10 to 90 degrees two-theta), sorted by position:
2θ/deg  d (Å)  intensity  h k l
30.5  2.930  100  2 0 0
43.7  2.072  76  2 2 0
54.2  1.691  27  2 2 2
63.5  1.465  13  4 0 0
72.1  1.310  35  4 2 0
80.3  1.196  27  4 2 2

Atomic structure:
```
data_TlAu
_space_group_name_H-M_alt 'F m -3 m'
_space_group_IT_number 225
_space_group_name_Hall '-F 4 2 3'
_cell_length_a 5.8593
_cell_length_b 5.8593
_cell_length_c 5.8593
_cell_angle_alpha 90.00
_cell_angle_beta 90.00
_cell_angle_gamma 90.00
loop_
_atom_site_label
_atom_site_type_symbol
_atom_site_fract_x
_atom_site_fract_y
_atom_site_fract_z
Tl1 Tl 0.0000 0.0000 0.0000
Au1 Au 0.0000 0.0000 0.5000
```

---

Record 9
For Tl2Au9, a GGA-PBE-relaxed structure gives the computed powder X-ray diffraction pattern in this record (Cu Kα, 1.54184 Å).
Lines closer than 0.1° are merged.

The 6 most intense peaks (10 to 90 degrees two-theta), sorted by position:
2θ/deg  d (Å)  intensity  h k l
36.4  2.466  69  1 0 4
37.4  2.406  100  1 0 5
38.1  2.360  36  0 0 14
42.8  2.113  88  0 1 9
62.2  1.492  37  1 1 0
75.4  1.261  31  1 1 14

Atomic structure:
```
data_Tl2Au9
_space_group_name_H-M_alt 'P -3 m 1'
_space_group_IT_number 164
_space_group_name_Hall '-P 3 2"'
_cell_length_a 2.9835
_cell_length_b 2.9835
_cell_length_c 33.0390
_cell_angle_alpha 90.00
_cell_angle_beta 90.00
_cell_angle_gamma 120.00
loop_
_atom_site_label
_atom_site_type_symbol
_atom_site_fract_x
_atom_site_fract_y
_atom_site_fract_z
Tl1 Tl 0.3333 0.6667 0.3699
Au1 Au 0.0000 0.0000 0.0000
Au2 Au 0.0000 0.0000 0.2142
Au3 Au 0.3333 0.6667 0.1426
Au4 Au 0.3333 0.6667 0.7130
Au5 Au 0.3333 0.6667 0.9286
```